No. 1
For BaSr3Pd, a structure optimized by DFT (PBE) gives the computed powder X-ray diffraction pattern in this record (Cu Ka).
Kinematic intensities with the Lorentz-polarization factor, no thermal factor.

Principal peaks in the range 5° ≤ 2θ ≤ 70°, in order of rising 2θ:
- 2θ 17.1, I = 40
- 2θ 24.9, I = 22
- 2θ 26.6, I = 56
- 2θ 26.9, I = 100
- 2θ 34.5, I = 19
- 2θ 34.7, I = 44
- 2θ 41.5, I = 34
- 2θ 45.0, I = 26
- 2θ 50.4, I = 19
- 2θ 67.7, I = 22

Structure:
```
data_BaSr3Pd
_chemical_formula_sum 'Ba2 Sr6 Pd2'
_cell_length_a 8.713
_cell_length_b 8.713
_cell_length_c 7.162
_cell_angle_alpha 90.00
_cell_angle_beta 90.00
_cell_angle_gamma 120.77
_symmetry_space_group_name_H-M 'P 1'
_symmetry_Int_Tables_number 1
_symmetry_space_group_name_Hall 'P 1'
loop_
_atom_site_label
_atom_site_fract_x
_atom_site_fract_y
_atom_site_fract_z
_atom_site_occupancy
Ba1 0.082 0.918 0.500 1
Ba2 0.918 0.082 0.000 1
Sr1 0.083 0.423 0.513 1
Sr2 0.417 0.583 0.029 1
Sr3 0.423 0.083 0.013 1
Sr4 0.577 0.917 0.513 1
Sr5 0.583 0.417 0.529 1
Sr6 0.917 0.577 0.013 1
Pd1 0.251 0.749 0.258 1
Pd2 0.749 0.251 0.758 1
```


No. 2
For Hf2GaN, a structure optimized by DFT (PBE) gives the computed powder X-ray diffraction pattern in this record (Cu Ka).
Kinematic intensities with the Lorentz-polarization factor, no thermal factor.

Principal peaks in the range 5° ≤ 2θ ≤ 70°, in order of rising 2θ:
- 2θ 12.7, I = 13
- 2θ 25.6, I = 7
- 2θ 32.2, I = 23
- 2θ 32.9, I = 11
- 2θ 37.8, I = 100
- 2θ 38.9, I = 18
- 2θ 51.4, I = 15
- 2θ 57.0, I = 7
- 2θ 57.4, I = 21
- 2θ 69.7, I = 14

Structure:
```
data_Hf2GaN
_chemical_formula_sum 'Hf12 Ga6 N6'
_cell_length_a 5.558
_cell_length_b 5.558
_cell_length_c 14.259
_cell_angle_alpha 101.25
_cell_angle_beta 101.25
_cell_angle_gamma 60.00
_symmetry_space_group_name_H-M 'P 1'
_symmetry_Int_Tables_number 1
_symmetry_space_group_name_Hall 'P 1'
loop_
_atom_site_label
_atom_site_fract_x
_atom_site_fract_y
_atom_site_fract_z
_atom_site_occupancy
Hf1 0.030 0.864 0.591 1
Hf2 0.136 0.970 0.909 1
Hf3 0.197 0.364 0.091 1
Hf4 0.303 0.469 0.409 1
Hf5 0.364 0.197 0.591 1
Hf6 0.469 0.303 0.909 1
Hf7 0.531 0.697 0.091 1
Hf8 0.636 0.803 0.409 1
Hf9 0.697 0.531 0.591 1
Hf10 0.803 0.636 0.909 1
Hf11 0.864 0.030 0.091 1
Hf12 0.970 0.136 0.409 1
Ga1 0.083 0.251 0.750 1
Ga2 0.251 0.083 0.250 1
Ga3 0.418 0.582 0.750 1
Ga4 0.582 0.418 0.250 1
Ga5 0.749 0.917 0.750 1
Ga6 0.917 0.749 0.250 1
N1 0.000 0.500 0.500 1
N2 0.167 0.667 0.000 1
N3 0.333 0.833 0.500 1
N4 0.500 0.000 0.000 1
N5 0.667 0.167 0.500 1
N6 0.833 0.333 0.000 1
```


No. 3
For Ag2SnHgTe2S2, a structure optimized by DFT (PBE) gives the computed powder X-ray diffraction pattern in this record (Cu Ka).
Kinematic intensities with the Lorentz-polarization factor, no thermal factor.

Principal peaks in the range 5° ≤ 2θ ≤ 70°, in order of rising 2θ:
- 2θ 20.6, I = 14
- 2θ 24.5, I = 98
- 2θ 25.1, I = 100
- 2θ 32.2, I = 23
- 2θ 40.2, I = 26
- 2θ 41.1, I = 90
- 2θ 41.9, I = 23
- 2θ 48.0, I = 34
- 2θ 49.1, I = 30
- 2θ 59.5, I = 22

Structure:
```
data_Ag2SnHgTe2S2
_chemical_formula_sum 'Ag2 Sn1 Hg1 Te2 S2'
_cell_length_a 7.666
_cell_length_b 7.566
_cell_length_c 6.220
_cell_angle_alpha 66.74
_cell_angle_beta 65.07
_cell_angle_gamma 48.20
_symmetry_space_group_name_H-M 'P 1'
_symmetry_Int_Tables_number 1
_symmetry_space_group_name_Hall 'P 1'
loop_
_atom_site_label
_atom_site_fract_x
_atom_site_fract_y
_atom_site_fract_z
_atom_site_occupancy
Ag1 0.000 0.000 0.500 1
Ag2 0.500 0.500 0.000 1
Sn1 0.215 0.215 0.785 1
Hg1 0.724 0.724 0.276 1
Te1 0.112 0.598 0.402 1
Te2 0.598 0.112 0.888 1
S1 0.336 0.864 0.664 1
S2 0.864 0.336 0.136 1
```


No. 4
For Cu, a structure optimized by DFT (PBE) gives the computed powder X-ray diffraction pattern in this record (Cu Ka).
Kinematic intensities with the Lorentz-polarization factor, no thermal factor.

Principal peaks in the range 5° ≤ 2θ ≤ 70°, in order of rising 2θ:
- 2θ 6.6, I = 38
- 2θ 9.9, I = 61
- 2θ 41.1, I = 59
- 2θ 43.6, I = 97
- 2θ 43.8, I = 100
- 2θ 44.6, I = 54
- 2θ 49.5, I = 36
- 2θ 50.2, I = 24
- 2θ 51.4, I = 31
- 2θ 51.8, I = 26

Structure:
```
data_Cu
_chemical_formula_sum 'Cu18'
_cell_length_a 4.366
_cell_length_b 4.366
_cell_length_c 26.880
_cell_angle_alpha 90.40
_cell_angle_beta 90.40
_cell_angle_gamma 48.06
_symmetry_space_group_name_H-M 'P 1'
_symmetry_Int_Tables_number 1
_symmetry_space_group_name_Hall 'P 1'
loop_
_atom_site_label
_atom_site_fract_x
_atom_site_fract_y
_atom_site_fract_z
_atom_site_occupancy
Cu1 0.000 0.000 0.000 1
Cu2 0.000 0.000 0.693 1
Cu3 0.100 0.100 0.785 1
Cu4 0.101 0.101 0.093 1
Cu5 0.199 0.199 0.877 1
Cu6 0.300 0.300 0.969 1
Cu7 0.302 0.302 0.663 1
Cu8 0.398 0.398 0.061 1
Cu9 0.400 0.400 0.755 1
Cu10 0.497 0.497 0.148 1
Cu11 0.500 0.500 0.846 1
Cu12 0.600 0.600 0.938 1
Cu13 0.601 0.601 0.635 1
Cu14 0.699 0.699 0.030 1
Cu15 0.701 0.701 0.724 1
Cu16 0.797 0.797 0.123 1
Cu17 0.800 0.800 0.816 1
Cu18 0.900 0.900 0.908 1
```


No. 5
For Sm10Se19, a structure optimized by DFT (PBE) gives the computed powder X-ray diffraction pattern in this record (Cu Ka).
Kinematic intensities with the Lorentz-polarization factor, no thermal factor.

Principal peaks in the range 5° ≤ 2θ ≤ 70°, in order of rising 2θ:
- 2θ 24.0, I = 53
- 2θ 30.7, I = 49
- 2θ 31.9, I = 32
- 2θ 32.5, I = 63
- 2θ 37.5, I = 100
- 2θ 38.8, I = 64
- 2θ 43.9, I = 57
- 2θ 55.3, I = 23
- 2θ 60.1, I = 35
- 2θ 63.9, I = 23

Structure:
```
data_Sm10Se19
_chemical_formula_sum 'Sm20 Se38'
_cell_length_a 9.214
_cell_length_b 9.214
_cell_length_c 16.838
_cell_angle_alpha 90.00
_cell_angle_beta 90.00
_cell_angle_gamma 90.00
_symmetry_space_group_name_H-M 'P 1'
_symmetry_Int_Tables_number 1
_symmetry_space_group_name_Hall 'P 1'
loop_
_atom_site_label
_atom_site_fract_x
_atom_site_fract_y
_atom_site_fract_z
_atom_site_occupancy
Sm1 0.044 0.347 0.119 1
Sm2 0.053 0.352 0.607 1
Sm3 0.148 0.053 0.893 1
Sm4 0.153 0.044 0.381 1
Sm5 0.250 0.750 0.117 1
Sm6 0.250 0.750 0.617 1
Sm7 0.347 0.456 0.381 1
Sm8 0.352 0.447 0.893 1
Sm9 0.447 0.148 0.607 1
Sm10 0.456 0.153 0.119 1
Sm11 0.544 0.847 0.881 1
Sm12 0.553 0.852 0.393 1
Sm13 0.648 0.553 0.107 1
Sm14 0.653 0.544 0.619 1
Sm15 0.750 0.250 0.383 1
Sm16 0.750 0.250 0.883 1
Sm17 0.847 0.956 0.619 1
Sm18 0.852 0.947 0.107 1
Sm19 0.947 0.648 0.393 1
Sm20 0.956 0.653 0.881 1
Se1 0.030 0.829 0.250 1
Se2 0.049 0.348 0.430 1
Se3 0.052 0.350 0.937 1
Se4 0.063 0.879 0.751 1
Se5 0.121 0.563 0.251 1
Se6 0.150 0.052 0.563 1
Se7 0.152 0.049 0.070 1
Se8 0.171 0.530 0.750 1
Se9 0.250 0.250 0.250 1
Se10 0.250 0.750 0.436 1
Se11 0.250 0.750 0.936 1
Se12 0.329 0.970 0.750 1
Se13 0.348 0.451 0.070 1
Se14 0.350 0.448 0.563 1
Se15 0.379 0.937 0.251 1
Se16 0.437 0.621 0.751 1
Se17 0.448 0.150 0.937 1
Se18 0.451 0.152 0.430 1
Se19 0.470 0.671 0.250 1
Se20 0.530 0.329 0.750 1
Se21 0.549 0.848 0.570 1
Se22 0.552 0.850 0.063 1
Se23 0.563 0.379 0.249 1
Se24 0.621 0.063 0.749 1
Se25 0.650 0.552 0.437 1
Se26 0.652 0.549 0.930 1
Se27 0.671 0.030 0.250 1
Se28 0.750 0.250 0.064 1
Se29 0.750 0.250 0.564 1
Se30 0.750 0.750 0.750 1
Se31 0.829 0.470 0.250 1
Se32 0.848 0.951 0.930 1
Se33 0.850 0.948 0.437 1
Se34 0.879 0.437 0.749 1
Se35 0.937 0.121 0.249 1
Se36 0.948 0.650 0.063 1
Se37 0.951 0.652 0.570 1
Se38 0.970 0.171 0.750 1
```


No. 6
For CdCu2OsSe4, a structure optimized by DFT (PBE) gives the computed powder X-ray diffraction pattern in this record (Cu Ka).
Kinematic intensities with the Lorentz-polarization factor, no thermal factor.

Principal peaks in the range 5° ≤ 2θ ≤ 70°, in order of rising 2θ:
- 2θ 16.0, I = 4
- 2θ 17.2, I = 10
- 2θ 21.6, I = 8
- 2θ 27.0, I = 100
- 2θ 34.9, I = 7
- 2θ 44.1, I = 24
- 2θ 45.3, I = 46
- 2θ 52.5, I = 30
- 2θ 54.5, I = 15
- 2θ 64.1, I = 7

Structure:
```
data_CdCu2OsSe4
_chemical_formula_sum 'Cd1 Cu2 Os1 Se4'
_cell_length_a 6.892
_cell_length_b 6.892
_cell_length_c 6.892
_cell_angle_alpha 130.16
_cell_angle_beta 130.16
_cell_angle_gamma 73.15
_symmetry_space_group_name_H-M 'P 1'
_symmetry_Int_Tables_number 1
_symmetry_space_group_name_Hall 'P 1'
loop_
_atom_site_label
_atom_site_fract_x
_atom_site_fract_y
_atom_site_fract_z
_atom_site_occupancy
Cd1 0.000 0.000 0.000 1
Cu1 0.250 0.750 0.500 1
Cu2 0.750 0.250 0.500 1
Os1 0.500 0.500 0.000 1
Se1 0.140 0.140 0.548 1
Se2 0.408 0.860 0.000 1
Se3 0.592 0.592 0.452 1
Se4 0.860 0.408 0.000 1
```


No. 7
For Er2Lu2O5, a structure optimized by DFT (PBE) gives the computed powder X-ray diffraction pattern in this record (Cu Ka).
Kinematic intensities with the Lorentz-polarization factor, no thermal factor.

Principal peaks in the range 5° ≤ 2θ ≤ 70°, in order of rising 2θ:
- 2θ 9.7, I = 2
- 2θ 30.4, I = 100
- 2θ 32.9, I = 37
- 2θ 39.4, I = 11
- 2θ 47.2, I = 19
- 2θ 52.3, I = 28
- 2θ 57.1, I = 34
- 2θ 63.1, I = 12
- 2θ 66.0, I = 11
- 2θ 69.0, I = 6

Structure:
```
data_Er2Lu2O5
_chemical_formula_sum 'Er2 Lu2 O5'
_cell_length_a 3.852
_cell_length_b 3.852
_cell_length_c 9.138
_cell_angle_alpha 90.00
_cell_angle_beta 90.00
_cell_angle_gamma 90.00
_symmetry_space_group_name_H-M 'P 1'
_symmetry_Int_Tables_number 1
_symmetry_space_group_name_Hall 'P 1'
loop_
_atom_site_label
_atom_site_fract_x
_atom_site_fract_y
_atom_site_fract_z
_atom_site_occupancy
Er1 0.000 0.000 0.242 1
Er2 0.000 0.000 0.758 1
Lu1 0.500 0.500 0.000 1
Lu2 0.500 0.500 0.500 1
O1 0.000 0.000 0.500 1
O2 0.000 0.500 0.143 1
O3 0.000 0.500 0.857 1
O4 0.500 0.000 0.143 1
O5 0.500 0.000 0.857 1
```


No. 8
For Cu3SnSeS3, a structure optimized by DFT (PBE) gives the computed powder X-ray diffraction pattern in this record (Cu Ka).
Kinematic intensities with the Lorentz-polarization factor, no thermal factor.

Principal peaks in the range 5° ≤ 2θ ≤ 70°, in order of rising 2θ:
- 2θ 18.2, I = 5
- 2θ 28.4, I = 100
- 2θ 29.6, I = 5
- 2θ 32.9, I = 8
- 2θ 37.8, I = 3
- 2θ 47.2, I = 32
- 2θ 47.2, I = 32
- 2θ 55.9, I = 16
- 2θ 56.0, I = 24
- 2θ 69.0, I = 9

Structure:
```
data_Cu3SnSeS3
_chemical_formula_sum 'Cu3 Sn1 Se1 S3'
_cell_length_a 5.448
_cell_length_b 5.448
_cell_length_c 6.670
_cell_angle_alpha 114.16
_cell_angle_beta 114.16
_cell_angle_gamma 89.77
_symmetry_space_group_name_H-M 'P 1'
_symmetry_Int_Tables_number 1
_symmetry_space_group_name_Hall 'P 1'
loop_
_atom_site_label
_atom_site_fract_x
_atom_site_fract_y
_atom_site_fract_z
_atom_site_occupancy
Cu1 0.000 0.000 0.000 1
Cu2 0.263 0.738 0.521 1
Cu3 0.738 0.263 0.521 1
Sn1 0.486 0.486 0.006 1
Se1 0.895 0.895 0.278 1
S1 0.100 0.627 0.746 1
S2 0.360 0.360 0.272 1
S3 0.627 0.100 0.746 1
```